Simulated powder diffraction line list of Fe7S8 for λ = 1.5418 Å (Cu Kα), from DFT lattice parameters and positions (PBE).
Kinematic intensities with the Lorentz-polarization factor, no thermal factor.

The 10 most intense peaks (15° ≤ 2θ ≤ 90°), by intensity:
- d 1.894, 2θ 48.0, intensity 100.0
- d 1.858, 2θ 49.0, intensity 78.0
- d 1.977, 2θ 45.9, intensity 74.2
- d 1.660, 2θ 55.3, intensity 74.0
- d 2.926, 2θ 30.5, intensity 72.6
- d 2.605, 2θ 34.4, intensity 45.4
- d 2.485, 2θ 36.1, intensity 43.7
- d 2.468, 2θ 36.4, intensity 43.0
- d 3.074, 2θ 29.0, intensity 42.7
- d 2.852, 2θ 31.4, intensity 39.2

Atomic structure:
Cell: 6.3240 5.7038 11.1069 Å, 90.00 99.66 90.00°
Space group P2_1/c (No. 14)
Symmetry-distinct sites (fractional):
Fe (0.0000, 0.0000, 0.0000)
Fe (0.1717, 0.0233, 0.3587)
Fe (0.2554, 0.0350, 0.7312)
Fe (0.4154, 0.0146, 0.0974)
S (0.0661, 0.6792, 0.6872)
S (0.1994, 0.1811, 0.5455)
S (0.2735, 0.6679, 0.4213)
S (0.4645, 0.1641, 0.3168)